For CaLa3Co2O8, a crystal structure in Alexandria, relaxed with PBE+U gives the theoretical XRD peak list in this record (Cu Kα (weighted mean of Kα1 and Kα2)).
Lines closer than 0.1° are merged.

Cell and atoms:
```
28
Lattice="6.7812 0.0000 0.0000 -2.1448 7.4368 0.0000 -2.1531 -0.8549 7.3981" Properties=species:S:1:pos:R:3 pbc="T T T"
Ca 0.0000 0.0000 0.0000
Ca -2.1067 3.3450 3.7171
La -1.0805 -0.2616 3.6215
La 0.3162 2.0090 6.3736
La 0.3580 6.1540 2.6874
La -0.7103 5.8526 6.3009
La 1.4686 2.5800 2.5985
La 3.5311 3.0520 7.2686
Co 1.9751 4.6045 5.0023
Co 4.1593 1.3217 1.3173
Co 3.0906 0.9019 5.0195
Co 3.1007 5.0453 1.3184
O -2.9094 4.9529 5.7363
O -1.7619 1.7496 5.4346
O -1.7210 5.8033 1.7810
O -0.6535 1.7348 2.2659
O 2.0936 0.9074 0.3482
O 1.0193 4.2927 0.7883
O 1.0400 0.0624 4.5450
O 0.0716 4.2810 4.2457
O 2.2656 2.7134 4.9641
O 3.3912 1.0526 3.0565
O 1.2828 4.3663 6.7652
O 2.3600 6.8807 1.2806
O 3.7327 3.1736 1.3280
O 2.6389 4.8184 3.2325
O 1.6267 6.4745 5.0553
O 2.7052 0.6854 6.9555
```

Main lines, low angle first (10° ≤ 2θ ≤ 80°):
2theta	I (rel.)
24.1	22
31.6	100
32.2	35
33.2	35
43.2	20
43.7	24
44.4	13
46.9	36
57.1	28
58.3	18

---

For CaLaCoO4, a crystal structure in Alexandria, relaxed with PBE+U gives the theoretical XRD peak list in this record (Cu Kα (weighted mean of Kα1 and Kα2)).
Lines closer than 0.1° are merged.

Cell and atoms:
```
7
Lattice="-1.9079 1.9079 6.1142 1.9079 -1.9079 6.1142 1.9079 1.9079 -6.1142" Properties=species:S:1:pos:R:3 pbc="T T T"
Ca 0.0000 0.0000 0.0000
La 0.0000 0.0000 3.4564
Co 0.0000 0.0000 7.7551
O 1.9079 0.0000 1.7066
O 0.0000 0.0000 5.7381
O 0.0000 1.9079 1.7066
O 0.0000 0.0000 9.8978
```

Main lines, low angle first (10° ≤ 2θ ≤ 80°):
2theta	I (rel.)
14.5	41
24.4	36
32.1	100
33.2	71
44.0	24
44.8	25
47.7	39
56.6	18
58.6	36
67.2	16

---

For CaLa3Co2O8, a crystal structure in Alexandria, relaxed with PBE+U gives the theoretical XRD peak list in this record (Cu Kα (weighted mean of Kα1 and Kα2)).
Lines closer than 0.1° are merged.

Cell and atoms:
```
28
Lattice="5.4210 0.0000 0.0000 -0.0142 5.4672 0.0000 -0.0047 -0.0105 12.3646" Properties=species:S:1:pos:R:3 pbc="T T T"
Ca 0.0000 0.0000 0.0000
Ca 0.0243 2.8921 6.1874
La 2.5988 2.8539 12.3322
La 2.6346 0.0299 6.1685
La 2.6922 0.1677 2.7018
La 2.7193 2.7973 8.9082
La 5.3234 2.7996 2.7821
La 5.3467 0.1744 8.9446
Co 2.6503 2.8430 4.5327
Co 2.6602 0.0853 10.6832
Co 5.3727 0.1060 4.4926
Co 5.3661 2.8261 10.7035
O 0.0454 5.3768 6.5121
O 0.1068 3.0723 0.4925
O 1.2836 4.2342 4.2348
O 1.3036 4.2129 10.4172
O 1.3315 1.4093 4.4802
O 1.3343 1.4338 10.6571
O 2.4519 3.0622 6.6648
O 2.5119 5.4308 0.3262
O 2.7699 0.2265 8.5901
O 2.7973 2.6325 2.2619
O 3.9819 4.2111 10.6134
O 3.9815 4.2720 4.4102
O 4.0380 1.3952 10.8929
O 4.0615 1.4817 4.7172
O 5.1765 2.5813 8.4537
O 5.2438 0.2766 2.4220
```

Main lines, low angle first (10° ≤ 2θ ≤ 80°):
2theta	I (rel.)
24.2	23
31.8	100
32.8	36
33.0	36
43.5	22
44.2	14
44.5	14
47.2	20
47.3	19
57.9	14

---

For CaLa3Co2O8, a crystal structure in Alexandria, relaxed with PBE+U gives the theoretical XRD peak list in this record (Cu Kα (weighted mean of Kα1 and Kα2)).
Lines closer than 0.1° are merged.

Cell and atoms:
```
14
Lattice="5.4116 0.0000 0.0000 0.0000 5.4398 0.0000 -2.6874 0.0000 6.3286" Properties=species:S:1:pos:R:3 pbc="T T T"
Ca 0.0000 0.0000 0.0000
La 0.0324 0.0000 3.5391
La 2.6871 2.7199 0.0351
La 2.7522 2.7199 3.5908
Co 0.0265 2.7199 1.7345
Co 2.7371 0.0000 1.7445
O 0.0178 2.7199 4.0597
O 1.3601 1.3894 1.8106
O 1.3601 4.0504 1.8106
O 0.0490 0.0000 5.9007
O 2.7468 0.0000 3.9816
O 4.1013 1.3981 1.7922
O 4.1013 4.0418 1.7922
O 2.7861 2.7199 5.8747
```

Main lines, low angle first (10° ≤ 2θ ≤ 80°):
2theta	I (rel.)
14.0	10
24.2	22
31.5	100
32.9	36
33.1	35
42.8	21
42.9	13
43.9	21
47.4	37
57.9	19

---

For CaLa2Co2Sb2Pb2O12, a crystal structure in Alexandria, relaxed with PBE+U gives the theoretical XRD peak list in this record (Cu Kα (weighted mean of Kα1 and Kα2)).
Lines closer than 0.1° are merged.

Cell and atoms:
```
21
Lattice="6.5165 0.0000 0.0000 2.2225 6.1981 0.0000 2.1650 1.6468 8.4579" Properties=species:S:1:pos:R:3 pbc="T T T"
Ca 0.0000 0.0000 0.0000
La 2.6330 1.4114 1.8280
La 6.6031 4.8582 5.2287
Co 3.4741 4.8336 3.4686
Co 5.1963 1.5330 6.7928
Sb 3.4491 4.6836 7.2086
Sb 5.5160 1.5978 3.2898
Pb 1.5870 1.3821 5.2552
Pb 5.1991 3.9735 0.6849
O 3.7195 5.5251 1.6946
O 4.1645 4.8235 5.3394
O 4.2265 2.8212 7.9135
O 4.2503 3.1705 2.8139
O 6.1590 6.1853 7.1200
O 6.0766 6.7520 3.7935
O 5.8600 2.4202 5.1213
O 5.0961 1.0936 1.3902
O 9.1801 6.9367 7.2094
O 8.2646 3.8009 6.7025
O 8.6891 6.1374 4.0546
O 7.2560 2.4434 2.7762
```

Main lines, low angle first (10° ≤ 2θ ≤ 80°):
2theta	I (rel.)
16.2	68
17.4	46
22.8	62
27.9	53
29.4	90
29.6	78
31.3	99
31.6	100
32.0	62
48.3	47

---

For CaLa2Co2Sb2Pb2O12, a crystal structure in Alexandria, relaxed with PBE+U gives the theoretical XRD peak list in this record (Cu Kα (weighted mean of Kα1 and Kα2)).
Lines closer than 0.1° are merged.

Cell and atoms:
```
21
Lattice="5.7899 0.0000 0.0000 -0.4665 5.8638 0.0000 -0.1065 -0.8590 9.1121" Properties=species:S:1:pos:R:3 pbc="T T T"
Ca 0.0000 0.0000 0.0000
La 2.9849 5.2024 2.8067
La 5.4642 1.6835 6.8480
Co 0.3949 3.5311 1.1246
Co 2.9103 1.6705 4.9726
Sb -0.1496 4.6057 4.9524
Sb 3.0927 2.1091 0.4625
Pb 0.5720 1.6630 3.0662
Pb 2.4474 4.1628 7.0848
O -0.3936 4.3827 2.9423
O 0.0382 5.0245 6.9193
O 1.0617 3.0003 5.2533
O 1.3586 1.9582 8.5464
O 1.9844 0.5028 1.0695
O 2.0171 -0.1053 4.6793
O 2.3226 3.1619 1.9877
O 3.8388 0.3503 7.9975
O 4.0890 3.2910 5.3925
O 4.5044 1.1302 1.5636
O 4.2602 2.8127 9.1060
O 4.8623 0.3342 4.8139
```

Main lines, low angle first (10° ≤ 2θ ≤ 80°):
2theta	I (rel.)
18.8	25
25.3	23
27.8	50
28.8	78
29.4	100
30.6	41
31.0	95
34.0	24
39.6	28
50.6	23

---

For CaLa2Co2Sb2Pb2O12, a crystal structure in Alexandria, relaxed with PBE+U gives the theoretical XRD peak list in this record (Cu Kα (weighted mean of Kα1 and Kα2)).
Lines closer than 0.1° are merged.

Cell and atoms:
```
21
Lattice="5.6992 0.0000 0.0000 0.1383 5.9417 0.0000 0.3823 2.0730 9.6364" Properties=species:S:1:pos:R:3 pbc="T T T"
Ca 0.0000 0.0000 0.0000
La 0.4820 2.3839 6.0714
La 3.2506 3.4886 0.3626
Co 0.6202 5.3058 8.1472
Co 3.4488 2.2862 4.1328
Sb 0.5841 5.3941 4.0935
Sb 3.3573 2.5093 8.1670
Pb 0.4931 2.2712 2.2651
Pb 3.3431 5.5616 6.1905
O 0.7779 4.7991 6.0230
O 1.7828 1.0252 4.6624
O 1.9863 3.8434 8.7665
O 2.0672 6.9757 8.0470
O 2.5735 2.9977 2.5104
O 3.1744 2.8603 6.2111
O 3.4181 5.8247 0.4232
O 4.8234 3.8743 8.4125
O 4.7907 6.6199 4.5978
O 4.9701 7.0554 7.7385
O 5.2242 3.3642 4.0017
O 5.6561 3.7533 0.5755
```

Main lines, low angle first (10° ≤ 2θ ≤ 80°):
2theta	I (rel.)
18.4	42
21.3	37
30.2	67
30.6	94
31.0	85
31.4	100
32.3	72
33.5	68
43.5	43
47.2	43

---

For CaLa2Co2Sb2Pb2O12, a crystal structure in Alexandria, relaxed with PBE+U gives the theoretical XRD peak list in this record (Cu Kα (weighted mean of Kα1 and Kα2)).
Lines closer than 0.1° are merged.

Cell and atoms:
```
21
Lattice="6.4609 0.0000 0.0000 0.5727 6.6001 0.0000 0.3516 0.1787 7.7100" Properties=species:S:1:pos:R:3 pbc="T T T"
Ca 0.0000 0.0000 0.0000
La 2.0118 3.4350 5.8665
La 4.1638 1.0974 2.8856
Co 2.7854 5.2016 1.4467
Co 4.9485 4.3164 4.1872
Sb 1.6585 6.3629 4.0332
Sb 5.1874 3.2074 7.6726
Pb 1.0299 3.0327 2.2028
Pb 4.5391 6.3567 6.2245
O 0.5698 2.4306 7.3427
O 0.6874 4.5256 4.0526
O 1.5126 6.5736 2.0371
O 2.1056 5.9178 5.9299
O 2.1586 1.5496 4.1632
O 2.9688 3.7798 0.2674
O 3.4824 5.5067 3.4115
O 4.4797 3.1680 5.7486
O 4.3122 1.1103 0.4341
O 5.1727 3.1218 2.0279
O 6.0174 4.9971 7.4484
O 5.8396 0.6856 4.3552
```

Main lines, low angle first (10° ≤ 2θ ≤ 80°):
2theta	I (rel.)
17.5	62
18.4	54
27.0	60
27.7	74
28.9	54
30.4	51
30.6	100
31.0	44
31.5	55
32.1	93

---

For CaLa2Co2Sb2Pb2O12, a crystal structure in Alexandria, relaxed with PBE+U gives the theoretical XRD peak list in this record (Cu Kα (weighted mean of Kα1 and Kα2)).
Lines closer than 0.1° are merged.

Cell and atoms:
```
21
Lattice="5.9043 0.0000 0.0000 0.5796 6.0896 0.0000 1.2327 0.1167 9.0996" Properties=species:S:1:pos:R:3 pbc="T T T"
Ca 0.0000 0.0000 0.0000
La 2.1116 1.2193 2.3204
La 5.5531 3.3243 6.0561
Co 2.5233 3.8195 3.9956
Co 4.4802 0.4616 7.8131
Sb 2.6397 3.4500 7.9894
Sb 5.0232 0.5833 4.0047
Pb 1.9674 0.2411 5.8370
Pb 4.0520 3.9835 1.1141
O 0.8178 1.7474 4.4100
O 1.3502 1.9975 7.6882
O 2.0910 3.5042 2.0828
O 3.1165 3.7523 6.0456
O 2.8691 5.9340 0.3402
O 3.8591 5.6248 3.7288
O 4.3750 2.4985 8.3402
O 3.9739 2.2584 3.5900
O 4.5655 1.0073 5.9315
O 6.2576 5.0344 7.7207
O 5.6282 0.5066 2.1172
O 6.7056 5.0334 4.5852
```

Main lines, low angle first (10° ≤ 2θ ≤ 80°):
2theta	I (rel.)
17.4	27
26.5	38
28.3	42
29.3	57
29.7	100
30.7	30
30.8	71
31.0	26
31.4	27
33.0	44

---

For CaLa2Co2Sb2Pb2O12, a crystal structure in Alexandria, relaxed with PBE+U gives the theoretical XRD peak list in this record (Cu Kα (weighted mean of Kα1 and Kα2)).
Lines closer than 0.1° are merged.

Cell and atoms:
```
21
Lattice="6.0612 0.0000 0.0000 0.8180 6.6637 0.0000 1.3740 2.4061 8.6046" Properties=species:S:1:pos:R:3 pbc="T T T"
Ca 0.0000 0.0000 0.0000
La 3.7610 4.1995 6.5435
La 7.0923 5.8274 3.3587
Co 1.0539 2.3088 1.7550
Co 4.3754 7.4974 5.2119
Sb 3.9512 6.7088 1.6818
Sb 6.6911 2.8719 5.2101
Pb 4.2227 3.2538 2.3858
Pb 6.8799 6.4784 7.0104
O 1.4838 4.7613 5.5455
O 1.5078 3.1333 3.3755
O 2.7033 4.2673 8.5827
O 2.3000 2.1263 6.0623
O 2.3622 5.5385 1.3953
O 3.5603 6.6254 3.6518
O 4.7477 6.2509 6.6438
O 5.1037 3.8230 4.4123
O 5.3501 5.2388 1.6144
O 5.8134 2.9501 7.0109
O 6.5991 7.6974 4.9745
O 5.5977 1.1779 2.0274
```

Main lines, low angle first (10° ≤ 2θ ≤ 80°):
2theta	I (rel.)
20.6	64
27.0	59
27.9	45
28.3	47
29.0	37
29.9	47
30.5	100
31.2	31
31.7	47
32.8	45